# 1
Computed PXRD pattern of Nd3PaAl8 for a wavelength of 1.5418 Å, from the GGA-PBE geometry in Alexandria.

Top 10 peaks for 2θ from 10° to 90°, by intensity:
d/Å  2θ (°)  I/Imax
2.618  34.25  100.0
2.808  31.87  72.5
2.405  37.39  62.0
4.864  18.24  42.9
1.582  58.32  42.6
4.312  20.60  40.8
2.353  38.25  31.0
1.479  62.82  22.8
4.659  19.05  19.4
1.237  77.07  19.4

Crystal structure
Cell: 5.617 5.617 9.318 Å, 90.00 90.00 120.00°
Atoms (fractional coordinates):
Nd 0.000 0.000 0.000
Nd 0.000 0.000 0.367
Nd 0.333 0.667 0.858
Pa 0.333 0.667 0.503
Al 0.008 0.504 0.187
Al 0.327 0.164 0.678
Al 0.496 0.504 0.187
Al 0.496 0.992 0.187
Al 0.667 0.333 0.433
Al 0.667 0.333 0.938
Al 0.836 0.164 0.678
Al 0.836 0.673 0.678

---

# 2
Computed PXRD pattern of Ta4Te9I4O for a wavelength of 1.5418 Å, from the GGA-PBE geometry in Alexandria.

Top 10 peaks for 2θ from 10° to 90°, by intensity:
d/Å  2θ (°)  I/Imax
3.366  26.48  100.0
2.917  30.65  92.3
3.705  24.02  76.9
2.542  35.30  64.8
5.978  14.82  64.7
5.424  16.34  54.6
2.436  36.89  45.9
2.332  38.61  39.3
2.584  34.72  33.6
2.081  43.49  33.4

Crystal structure
Cell: 12.005 12.005 21.410 Å, 120.68 120.68 30.34°
Atoms (fractional coordinates):
Ta 0.003 0.122 0.357
Ta 0.122 0.003 0.857
Ta 0.224 0.630 0.762
Ta 0.370 0.776 0.738
Ta 0.630 0.224 0.262
Ta 0.776 0.370 0.238
Ta 0.878 0.997 0.143
Ta 0.997 0.878 0.643
Te 0.056 0.059 0.632
Te 0.059 0.056 0.132
Te 0.172 0.175 0.831
Te 0.175 0.172 0.331
Te 0.198 0.473 0.604
Te 0.344 0.618 0.581
Te 0.344 0.656 0.250
Te 0.382 0.656 0.919
Te 0.473 0.198 0.104
Te 0.527 0.802 0.896
Te 0.618 0.344 0.081
Te 0.656 0.344 0.750
Te 0.656 0.382 0.419
Te 0.802 0.527 0.396
Te 0.825 0.828 0.669
Te 0.828 0.825 0.169
Te 0.941 0.944 0.868
Te 0.944 0.941 0.368
I 0.061 0.668 0.017
I 0.282 0.389 0.277
I 0.332 0.939 0.483
I 0.389 0.282 0.777
I 0.611 0.718 0.223
I 0.668 0.061 0.517
I 0.718 0.611 0.723
I 0.939 0.332 0.983
O 0.111 0.889 0.750
O 0.889 0.111 0.250

---

# 3
Computed PXRD pattern of SrLiInPd2 for a wavelength of 1.5418 Å, from the GGA-PBE geometry in Alexandria.

Top 10 peaks for 2θ from 10° to 90°, by intensity:
d/Å  2θ (°)  I/Imax
2.937  30.43  100.0
2.703  33.14  94.5
4.028  22.07  80.8
2.111  42.85  73.0
2.135  42.33  70.8
1.501  61.81  48.2
2.140  42.22  44.3
1.727  53.03  40.8
3.019  29.59  35.0
1.510  61.42  23.0

Crystal structure
Cell: 6.779 6.779 6.779 Å, 143.29 143.29 52.89°
Atoms (fractional coordinates):
Sr 0.000 0.000 0.000
Li 0.250 0.750 0.500
In 0.750 0.250 0.500
Pd 0.389 0.389 0.000
Pd 0.611 0.611 0.000

---

# 4
Computed PXRD pattern of PrAl4Ni4 for a wavelength of 1.5418 Å, from the GGA-PBE geometry in Alexandria.

Top 10 peaks for 2θ from 10° to 90°, by intensity:
d/Å  2θ (°)  I/Imax
2.490  36.07  100.0
2.920  30.62  45.4
1.847  49.33  32.9
1.590  58.01  28.5
2.754  32.51  18.4
1.461  63.72  14.7
4.768  18.61  12.9
2.002  45.29  11.8
1.944  46.72  9.6
1.377  68.09  9.0

Crystal structure
Cell: 5.845 5.845 8.246 Å, 90.00 90.00 90.00°
Atoms (fractional coordinates):
Pr 0.250 0.750 0.250
Pr 0.750 0.250 0.750
Al 0.010 0.250 0.141
Al 0.250 0.010 0.641
Al 0.250 0.490 0.641
Al 0.490 0.250 0.141
Al 0.510 0.750 0.859
Al 0.750 0.510 0.359
Al 0.750 0.990 0.359
Al 0.990 0.750 0.859
Ni 0.046 0.250 0.441
Ni 0.250 0.046 0.941
Ni 0.250 0.454 0.941
Ni 0.454 0.250 0.441
Ni 0.546 0.750 0.559
Ni 0.750 0.546 0.059
Ni 0.750 0.954 0.059
Ni 0.954 0.750 0.559